Starting from a cell relaxed with GGA+U, the PXRD pattern of V3CuO8 was simulated for Cu Kα (weighted mean of Kα1 and Kα2).
Lines closer than 0.1° are merged.

Largest 10 diffraction maxima, by angle, 2θ from 10° to 80°:
hkl, two_theta, d_spacing, Rel. int.
1 1 0, 15.09, 5.870, 237
1 1 1, 18.51, 4.793, 455
2 0 0, 21.41, 4.151, 321
2 0 1, 23.97, 3.712, 333
2 1 1, 26.30, 3.389, 169
2 2 0, 30.46, 2.935, 229
3 1 1, 35.88, 2.503, 1000
4 0 0, 43.61, 2.075, 302
5 1 1, 57.71, 1.598, 391
4 4 0, 63.38, 1.467, 453

Cell and atoms:
```
data_V3CuO8
_chemical_formula_sum 'V12 Cu4 O32'
_cell_length_a 8.301
_cell_length_b 8.301
_cell_length_c 8.301
_cell_angle_alpha 90.00
_cell_angle_beta 90.00
_cell_angle_gamma 90.00
_space_group_name_H-M_alt 'P 21 3'
_space_group_IT_number 198
_space_group_name_Hall 'P 2ac 2ab 3'
loop_
_atom_site_label
_atom_site_type_symbol
_atom_site_fract_x
_atom_site_fract_y
_atom_site_fract_z
_atom_site_occupancy
V1 V 0.117 0.373 0.374 1
Cu1 Cu 0.003 0.997 0.497 1
O1 O 0.093 0.863 0.103 1
O2 O 0.111 0.845 0.643 1
O3 O 0.114 0.386 0.614 1
O4 O 0.134 0.634 0.866 1
```